# LiCoF4
Computed powder diffraction line list, Cu Kα X-rays. Input: a crystal structure in Alexandria, relaxed with PBE+U.
No peak broadening, texture or thermal motion is included.

```
data_LiCoF4
_chemical_formula_sum 'Li2 Co2 F8'
_symmetry_space_group_name_H-M 'P 1 21/c 1'
_symmetry_Int_Tables_number 14
_cell_length_a 5.5649
_cell_length_b 4.7415
_cell_length_c 5.5712
_cell_angle_alpha 90.00
_cell_angle_beta 115.84
_cell_angle_gamma 90.00
loop_
_symmetry_equiv_pos_as_xyz
'x,y,z'
'-x,-y,-z'
'-x,y+1/2,-z+1/2'
'x,-y+1/2,z+1/2'
loop_
_atom_site_label
_atom_site_type_symbol
_atom_site_fract_x
_atom_site_fract_y
_atom_site_fract_z
Li1 Li 0.0000 0.0000 0.0000
Co1 Co 0.5000 0.0000 0.5000
F1 F 0.1778 0.1773 0.3706
F2 F 0.3561 0.7055 0.6806
```

Top 10 peaks for 15 to 90 degrees two-theta, by angle:
2θ (°)  intensity  index
17.71  90  1 0 0
25.86  73  0 1 1
26.65  100  1 1 -1
35.81  21  1 1 1
37.55  18  2 1 -1
40.73  40  2 1 0
53.21  49  0 2 2
54.92  24  2 2 -2
67.15  15  1 3 1
67.45  16  4 0 -2